# 1
The following is a theoretical powder XRD pattern of La12Tb7Th. It was derived from a cell relaxed with PBE, using Cu Kα (λ = 1.5418 Å).
No peak broadening, texture or thermal motion is included.

Structure:
```
La12Tb7Th
1.0
9.837 5.679 2.134
-9.837 5.679 2.134
0.000 -11.359 2.134
La Tb Th
12 7 1
Direct
0.001 0.407 0.594
0.073 0.074 0.430
0.074 0.430 0.073
0.406 0.999 0.593
0.407 0.594 0.001
0.430 0.073 0.074
0.570 0.927 0.926
0.593 0.406 0.999
0.594 0.001 0.407
0.926 0.570 0.927
0.927 0.926 0.570
0.999 0.593 0.406
0.000 0.000 0.000
0.130 0.381 0.381
0.381 0.130 0.381
0.381 0.381 0.130
0.619 0.619 0.870
0.619 0.870 0.619
0.870 0.619 0.619
0.500 0.500 0.500
```

The 8 most intense peaks (2θ = 10–90°), low angle first:
2θ/deg, I/Imax
27.20, 68
29.70, 100
29.82, 59
32.43, 47
32.83, 53
33.82, 40
38.59, 45
46.89, 35


# 2
The following is a theoretical powder XRD pattern of Tl3In3SnI8. It was derived from a cell relaxed with PBE, using Cu Kα (λ = 1.5418 Å).
No peak broadening, texture or thermal motion is included.

Structure:
```
Tl3In3SnI8
1.0
4.960 2.864 8.141
-4.960 2.864 8.141
0.000 -5.727 8.141
Tl In Sn I
3 3 1 8
Direct
0.000 0.500 0.500
0.500 0.000 0.500
0.500 0.500 0.000
0.000 0.000 0.500
0.000 0.500 0.000
0.500 0.000 0.000
0.500 0.500 0.500
0.249 0.249 0.249
0.267 0.731 0.731
0.269 0.269 0.733
0.269 0.733 0.269
0.731 0.267 0.731
0.731 0.731 0.267
0.733 0.269 0.269
0.751 0.751 0.751
```

The 8 most intense peaks (2θ = 10–90°), low angle first:
2θ/deg, I/Imax
10.92, 13
25.35, 100
36.09, 38
36.22, 38
44.73, 21
58.68, 17
58.86, 17
65.10, 19


# 3
The following is a theoretical powder XRD pattern of Er3Cd2Ag4. It was derived from a cell relaxed with PBE, using Cu Kα (λ = 1.5418 Å).
No peak broadening, texture or thermal motion is included.

Structure:
```
Er3Cd2Ag4
1.0
5.398 -2.394 0.000
5.398 2.394 0.000
-4.590 0.000 7.797
Er Cd Ag
3 2 4
Direct
0.000 0.000 0.000
0.341 0.341 0.321
0.659 0.659 0.679
0.372 0.372 0.707
0.628 0.628 0.293
0.060 0.060 0.394
0.275 0.275 0.940
0.725 0.725 0.060
0.940 0.940 0.606
```

The 8 most intense peaks (2θ = 10–90°), low angle first:
2θ/deg, I/Imax
34.19, 29
34.47, 100
34.62, 58
37.04, 100
37.57, 50
51.70, 17
51.93, 20
68.78, 29


# 4
The following is a theoretical powder XRD pattern of Li4Dy3HoS8. It was derived from a cell relaxed with PBE, using Cu Kα (λ = 1.5418 Å).
No peak broadening, texture or thermal motion is included.

Structure:
```
Li4Dy3HoS8
1.0
3.909 2.257 6.176
-3.909 2.257 6.176
0.000 -4.514 6.176
Li Dy Ho S
4 3 1 8
Direct
0.000 0.000 0.000
0.000 0.500 0.500
0.500 0.000 0.500
0.500 0.500 0.000
0.000 0.000 0.500
0.000 0.500 0.000
0.500 0.000 0.000
0.500 0.500 0.500
0.250 0.250 0.250
0.251 0.251 0.749
0.251 0.749 0.251
0.251 0.749 0.749
0.749 0.251 0.251
0.749 0.251 0.749
0.749 0.749 0.251
0.750 0.750 0.750
```

The 8 most intense peaks (2θ = 10–90°), low angle first:
2θ/deg, I/Imax
14.34, 100
26.77, 70
28.06, 24
32.77, 94
35.93, 33
46.46, 34
47.57, 32
48.87, 27


# 5
The following is a theoretical powder XRD pattern of SrTm4Rh5. It was derived from a cell relaxed with PBE, using Cu Kα (λ = 1.5418 Å).
No peak broadening, texture or thermal motion is included.

Structure:
```
SrTm4Rh5
1.0
3.384 0.000 0.000
0.000 3.384 0.000
0.000 0.000 17.543
Sr Tm Rh
1 4 5
Direct
0.000 0.000 0.000
0.000 0.000 0.209
0.000 0.000 0.403
0.000 0.000 0.597
0.000 0.000 0.791
0.500 0.500 0.122
0.500 0.500 0.309
0.500 0.500 0.500
0.500 0.500 0.691
0.500 0.500 0.878
```

The 8 most intense peaks (2θ = 10–90°), low angle first:
2θ/deg, I/Imax
36.90, 100
37.59, 53
40.78, 10
52.14, 7
54.21, 18
66.03, 13
67.39, 34
78.54, 8


# 6
The following is a theoretical powder XRD pattern of Hf2Al4Ga3. It was derived from a cell relaxed with PBE, using Cu Kα (λ = 1.5418 Å).
No peak broadening, texture or thermal motion is included.

Structure:
```
Hf2Al4Ga3
1.0
4.280 0.000 0.000
2.124 5.142 0.000
0.074 1.808 7.250
Hf Al Ga
2 4 3
Direct
0.214 0.069 0.316
0.786 0.931 0.684
0.099 0.306 0.667
0.319 0.862 0.970
0.681 0.138 0.030
0.901 0.694 0.333
0.000 0.500 0.000
0.455 0.594 0.656
0.545 0.406 0.344
```

The 8 most intense peaks (2θ = 10–90°), low angle first:
2θ/deg, I/Imax
19.00, 78
24.61, 93
37.21, 100
38.22, 95
38.36, 94
38.47, 91
38.79, 89
42.24, 76